Entry 1:
The following is a simulated X-ray diffraction stick pattern of K2CrAuF6. It was derived from a cell relaxed with GGA+U, using Cu Kα.
Kinematic intensities with the Lorentz-polarization factor, no thermal factor.

Cell: 6.1907 6.1907 6.1907 Å, 60.00 60.00 60.00°
Sites, in units of the cell vectors:
K1 0.2500 0.2500 0.2500
K2 0.7500 0.7500 0.7500
Cr1 0.0000 0.0000 0.0000
Au1 0.5000 0.5000 0.5000
F1 0.2214 0.2214 0.7786
F2 0.2214 0.7786 0.2214
F3 0.2214 0.7786 0.7786
F4 0.7786 0.2214 0.2214
F5 0.7786 0.2214 0.7786
F6 0.7786 0.7786 0.2214

Principal peaks in the range 2θ from 10° to 90°, in order of rising 2θ:
d (Å), I_rel
5.055, 32
4.377, 58
3.095, 100
2.640, 33
2.189, 40
2.009, 21
1.958, 25
1.787, 38
1.548, 23
1.170, 21


Entry 2:
The following is a simulated X-ray diffraction stick pattern of Co3SnO8. It was derived from a cell relaxed with GGA+U, using Cu Kα.
Kinematic intensities with the Lorentz-polarization factor, no thermal factor.

Cell: 5.6755 5.6755 9.3912 Å, 90.00 90.00 120.00°
Sites, in units of the cell vectors:
Co1 0.1675 0.3351 0.0000
Co2 0.1675 0.8325 0.0000
Co3 0.3351 0.1675 0.5000
Co4 0.6649 0.8325 0.0000
Co5 0.8325 0.1675 0.5000
Co6 0.8325 0.6649 0.5000
Sn1 0.3333 0.6667 0.2787
Sn2 0.6667 0.3333 0.7787
O1 0.0000 0.0000 0.1032
O2 0.0000 0.0000 0.6032
O3 0.0321 0.5160 0.1125
O4 0.1565 0.3131 0.3963
O5 0.1565 0.8435 0.3963
O6 0.3131 0.1565 0.8963
O7 0.3333 0.6667 0.8962
O8 0.4840 0.5160 0.1125
O9 0.4840 0.9679 0.1125
O10 0.5160 0.0321 0.6125
O11 0.5160 0.4840 0.6125
O12 0.6667 0.3333 0.3962
O13 0.6869 0.8435 0.3963
O14 0.8435 0.1565 0.8963
O15 0.8435 0.6869 0.8963
O16 0.9679 0.4840 0.6125

Principal peaks in the range 2θ from 10° to 90°, in order of rising 2θ:
d (Å), I_rel
4.696, 21
4.355, 100
3.395, 34
2.640, 39
2.429, 53
2.377, 36
1.933, 29
1.598, 20
1.492, 33
1.419, 24


Entry 3:
The following is a simulated X-ray diffraction stick pattern of Gd2W4O15. It was derived from a cell relaxed with GGA+U, using Cu Kα.
Kinematic intensities with the Lorentz-polarization factor, no thermal factor.

Cell: 6.9182 9.8834 10.8775 Å, 90.00 105.69 90.00°
Sites, in units of the cell vectors:
Gd1 0.2126 0.0238 0.2779
Gd2 0.2126 0.4762 0.7779
Gd3 0.7874 0.5238 0.2221
Gd4 0.7874 0.9762 0.7221
W1 0.0833 0.7438 0.0116
W2 0.0833 0.7562 0.5116
W3 0.3845 0.0960 0.8448
W4 0.3845 0.4040 0.3448
W5 0.6155 0.5960 0.6552
W6 0.6155 0.9040 0.1552
W7 0.9167 0.2438 0.4884
W8 0.9167 0.2562 0.9884
O1 0.0215 0.1262 0.3971
O2 0.0215 0.3738 0.8971
O3 0.1179 0.1673 0.0999
O4 0.1179 0.3327 0.5999
O5 0.1220 0.0571 0.8179
O6 0.1220 0.4429 0.3179
O7 0.2225 0.6530 0.9193
O8 0.2225 0.8470 0.4193
O9 0.2519 0.6349 0.6175
O10 0.2519 0.8651 0.1175
O11 0.3880 0.2224 0.3527
O12 0.3880 0.2776 0.8527
O13 0.4436 0.0282 0.7055
O14 0.4436 0.4718 0.2055
O15 0.5000 0.0000 0.0000
O16 0.5000 0.5000 0.5000
O17 0.5564 0.5282 0.7945
O18 0.5564 0.9718 0.2945
O19 0.6120 0.7224 0.1473
O20 0.6120 0.7776 0.6473
O21 0.7481 0.1349 0.8825
O22 0.7481 0.3651 0.3825
O23 0.7775 0.1530 0.5807
O24 0.7775 0.3470 0.0807
O25 0.8780 0.5571 0.6821
O26 0.8780 0.9429 0.1821
O27 0.8821 0.6673 0.4001
O28 0.8821 0.8327 0.9001
O29 0.9785 0.6262 0.1029
O30 0.9785 0.8738 0.6029

Principal peaks in the range 2θ from 10° to 90°, in order of rising 2θ:
d (Å), I_rel
4.481, 44
4.314, 51
3.969, 32
3.663, 47
3.594, 100
3.440, 59
3.234, 41
3.156, 34
2.953, 33
2.696, 54